Record 1
This entry pairs a crystal structure of Rb2ZrTe2Se6 with its computed X-ray powder pattern. Radiation: CuKα. Structure: a DFT-relaxed cell (PBE, Alexandria).
No peak broadening, texture or thermal motion is included.

The 8 most intense peaks (15° ≤ 2θ ≤ 90°), most intense first:
26.9°, rel. 100
21.8°, rel. 85
34.2°, rel. 72
26.6°, rel. 57
43.3°, rel. 54
20.4°, rel. 51
20.7°, rel. 49
33.2°, rel. 46

Crystal structure
Unit cell a=8.9655 b=8.9655 c=7.6447 alpha=114.33 beta=114.33 gamma=50.34
Sites, in units of the cell vectors:
Rb: 0.2264 0.2264 0.2362
Rb: 0.7736 0.7736 0.7638
Zr: 0.0000 0.0000 0.5000
Te: 0.4812 0.4812 0.1670
Te: 0.5188 0.5188 0.8330
Se: 0.1659 0.6564 0.6042
Se: 0.1757 0.1757 0.7365
Se: 0.3436 0.8341 0.3958
Se: 0.6564 0.1659 0.6042
Se: 0.8243 0.8243 0.2635
Se: 0.8341 0.3436 0.3958

***

Record 2
This entry pairs a crystal structure of Rb5Th3Se8 with its computed X-ray powder pattern. Radiation: CuKα. Structure: a DFT-relaxed cell (PBE, Alexandria).
No peak broadening, texture or thermal motion is included.

The 8 most intense peaks (15° ≤ 2θ ≤ 90°), most intense first:
27.4°, rel. 100
40.2°, rel. 36
38.0°, rel. 35
49.3°, rel. 19
65.5°, rel. 15
35.0°, rel. 13
62.4°, rel. 12
24.1°, rel. 12

Crystal structure
Unit cell a=9.4998 b=9.4998 c=9.4998 alpha=56.35 beta=56.35 gamma=56.35
Sites, in units of the cell vectors:
Rb: 0.0000 0.0000 0.0000
Rb: 0.0000 0.5000 0.5000
Rb: 0.5000 0.0000 0.5000
Rb: 0.5000 0.5000 0.0000
Rb: 0.5000 0.5000 0.5000
Th: 0.0000 0.0000 0.5000
Th: 0.0000 0.5000 0.0000
Th: 0.5000 0.0000 0.0000
Se: 0.2010 0.7503 0.7503
Se: 0.2330 0.2330 0.2330
Se: 0.2497 0.2497 0.7990
Se: 0.2497 0.7990 0.2497
Se: 0.7503 0.2010 0.7503
Se: 0.7503 0.7503 0.2010
Se: 0.7670 0.7670 0.7670
Se: 0.7990 0.2497 0.2497